No. 1
Calculated PXRD pattern of Li2ErAu3 for Cu Kα, from a GGA-PBE-relaxed structure.

Cell and atoms:
Cell lengths 4.552, 4.552, 12.378 Å; angles 90.00, 90.00, 120.00 degrees
Fractional positions:
Li (0.000, 0.000, 0.000)
Li (0.000, 0.000, 0.500)
Li (0.333, 0.667, 0.144)
Li (0.667, 0.333, 0.856)
Er (0.333, 0.667, 0.679)
Er (0.667, 0.333, 0.321)
Au (0.000, 0.000, 0.211)
Au (0.000, 0.000, 0.789)
Au (0.333, 0.667, 0.437)
Au (0.333, 0.667, 0.923)
Au (0.667, 0.333, 0.077)
Au (0.667, 0.333, 0.563)

The 12 most intense peaks (5° ≤ 2θ ≤ 70°), sorted by position:
- 2θ 23.69, rel. 33
- 2θ 26.81, rel. 72
- 2θ 31.39, rel. 21
- 2θ 36.93, rel. 100
- 2θ 39.60, rel. 97
- 2θ 43.15, rel. 25
- 2θ 46.67, rel. 5
- 2θ 48.47, rel. 15
- 2θ 51.38, rel. 5
- 2θ 55.26, rel. 32
- 2θ 60.00, rel. 10
- 2θ 64.31, rel. 13

***

No. 2
Calculated PXRD pattern of LiErAu6 for Cu Kα, from a GGA-PBE-relaxed structure.

Cell and atoms:
Cell lengths 4.280, 4.280, 8.107 Å; angles 90.00, 90.00, 90.00 degrees
Fractional positions:
Li (0.000, 0.000, 0.000)
Er (0.000, 0.000, 0.500)
Au (0.000, 0.500, 0.238)
Au (0.000, 0.500, 0.762)
Au (0.500, 0.000, 0.238)
Au (0.500, 0.000, 0.762)
Au (0.500, 0.500, 0.000)
Au (0.500, 0.500, 0.500)

The 12 most intense peaks (5° ≤ 2θ ≤ 70°), sorted by position:
- 2θ 10.91, rel. 3
- 2θ 20.75, rel. 6
- 2θ 21.93, rel. 2
- 2θ 23.51, rel. 5
- 2θ 29.52, rel. 3
- 2θ 30.37, rel. 5
- 2θ 31.56, rel. 4
- 2θ 37.07, rel. 100
- 2θ 42.23, rel. 35
- 2θ 44.72, rel. 14
- 2θ 61.26, rel. 12
- 2θ 63.19, rel. 21

***

No. 3
Calculated PXRD pattern of Li5Er4Au6 for Cu Kα, from a GGA-PBE-relaxed structure.

Cell and atoms:
Cell lengths 10.857, 10.857, 14.515 Å; angles 90.00, 90.00, 158.39 degrees
Fractional positions:
Li (0.048, 0.952, 0.500)
Li (0.153, 0.847, 0.815)
Li (0.177, 0.823, 0.098)
Li (0.188, 0.812, 0.445)
Li (0.322, 0.678, 0.459)
Li (0.678, 0.322, 0.959)
Li (0.812, 0.188, 0.945)
Li (0.823, 0.177, 0.598)
Li (0.847, 0.153, 0.315)
Li (0.952, 0.048, 0.000)
Er (0.323, 0.677, 0.773)
Er (0.359, 0.641, 0.126)
Er (0.457, 0.543, 0.612)
Er (0.478, 0.522, 0.345)
Er (0.522, 0.478, 0.845)
Er (0.543, 0.457, 0.112)
Er (0.641, 0.359, 0.626)
Er (0.677, 0.323, 0.273)
Au (0.051, 0.949, 0.694)
Au (0.079, 0.921, 0.258)
Au (0.081, 0.919, 0.970)
Au (0.242, 0.758, 0.611)
Au (0.273, 0.727, 0.287)
Au (0.398, 0.602, 0.935)
Au (0.602, 0.398, 0.435)
Au (0.727, 0.273, 0.787)
Au (0.758, 0.242, 0.111)
Au (0.919, 0.081, 0.470)
Au (0.921, 0.079, 0.758)
Au (0.949, 0.051, 0.194)

The 12 most intense peaks (5° ≤ 2θ ≤ 70°), sorted by position:
- 2θ 8.29, rel. 24
- 2θ 12.20, rel. 38
- 2θ 25.95, rel. 47
- 2θ 28.97, rel. 30
- 2θ 30.98, rel. 29
- 2θ 32.82, rel. 24
- 2θ 33.34, rel. 52
- 2θ 35.69, rel. 100
- 2θ 39.40, rel. 22
- 2θ 41.46, rel. 25
- 2θ 44.51, rel. 49
- 2θ 51.05, rel. 24

***

No. 4
Calculated PXRD pattern of LiEr2Au4 for Cu Kα, from a GGA-PBE-relaxed structure.

Cell and atoms:
Cell lengths 4.800, 4.800, 6.751 Å; angles 90.00, 90.00, 90.00 degrees
Fractional positions:
Li (0.000, 0.000, 0.000)
Er (0.000, 0.000, 0.500)
Er (0.500, 0.500, 0.000)
Au (0.000, 0.500, 0.249)
Au (0.000, 0.500, 0.751)
Au (0.500, 0.000, 0.249)
Au (0.500, 0.000, 0.751)

The 12 most intense peaks (5° ≤ 2θ ≤ 70°), sorted by position:
- 2θ 22.73, rel. 30
- 2θ 26.26, rel. 20
- 2θ 26.40, rel. 10
- 2θ 37.47, rel. 50
- 2θ 37.58, rel. 100
- 2θ 44.28, rel. 10
- 2θ 46.42, rel. 9
- 2θ 54.04, rel. 18
- 2θ 54.35, rel. 9
- 2θ 61.08, rel. 8
- 2θ 67.68, rel. 36
- 2θ 67.89, rel. 18

***

No. 5
Calculated PXRD pattern of Li3ErAu4 for Cu Kα, from a GGA-PBE-relaxed structure.

Cell and atoms:
Cell lengths 5.754, 5.754, 5.754 Å; angles 109.47, 109.47, 109.47 degrees
Fractional positions:
Li (0.000, 0.500, 0.500)
Li (0.500, 0.000, 0.500)
Li (0.500, 0.500, 0.000)
Er (0.000, 0.000, 0.000)
Au (0.000, 0.000, 0.500)
Au (0.000, 0.500, 0.000)
Au (0.500, 0.000, 0.000)
Au (0.500, 0.500, 0.500)

The 12 most intense peaks (5° ≤ 2θ ≤ 70°), sorted by position:
- 2θ 18.89, rel. 16
- 2θ 26.84, rel. 49
- 2θ 33.03, rel. 8
- 2θ 38.32, rel. 100
- 2θ 43.05, rel. 4
- 2θ 47.40, rel. 15
- 2θ 51.46, rel. 5
- 2θ 55.31, rel. 17
- 2θ 58.98, rel. 2
- 2θ 62.52, rel. 19
- 2θ 65.95, rel. 1
- 2θ 69.28, rel. 36

***

No. 6
Calculated PXRD pattern of Li2ErAu2 for Cu Kα, from a GGA-PBE-relaxed structure.

Cell and atoms:
Cell lengths 5.366, 5.366, 7.196 Å; angles 101.99, 101.99, 83.97 degrees
Fractional positions:
Li (0.103, 0.218, 0.462)
Li (0.218, 0.103, 0.962)
Li (0.782, 0.897, 0.038)
Li (0.897, 0.782, 0.538)
Er (0.360, 0.640, 0.250)
Er (0.640, 0.360, 0.750)
Au (0.142, 0.570, 0.836)
Au (0.430, 0.858, 0.664)
Au (0.570, 0.142, 0.336)
Au (0.858, 0.430, 0.164)

The 12 most intense peaks (5° ≤ 2θ ≤ 70°), sorted by position:
- 2θ 16.93, rel. 50
- 2θ 23.19, rel. 55
- 2θ 24.80, rel. 62
- 2θ 25.79, rel. 45
- 2θ 34.22, rel. 33
- 2θ 36.15, rel. 100
- 2θ 38.99, rel. 31
- 2θ 39.62, rel. 52
- 2θ 39.72, rel. 27
- 2θ 42.71, rel. 29
- 2θ 42.94, rel. 25
- 2θ 47.35, rel. 32

***

No. 7
Calculated PXRD pattern of Li2ErMgAu2 for Cu Kα, from a GGA-PBE-relaxed structure.

Cell and atoms:
Cell lengths 4.501, 4.501, 6.496 Å; angles 90.00, 90.00, 120.00 degrees
Fractional positions:
Li (0.333, 0.667, 0.183)
Li (0.667, 0.333, 0.817)
Er (0.000, 0.000, 0.500)
Mg (0.000, 0.000, 0.000)
Au (0.333, 0.667, 0.758)
Au (0.667, 0.333, 0.242)

The 12 most intense peaks (5° ≤ 2θ ≤ 70°), sorted by position:
- 2θ 13.63, rel. 7
- 2θ 26.67, rel. 100
- 2θ 27.46, rel. 5
- 2θ 35.99, rel. 53
- 2θ 40.06, rel. 46
- 2θ 48.07, rel. 19
- 2θ 48.78, rel. 20
- 2θ 49.26, rel. 6
- 2θ 54.94, rel. 16
- 2θ 56.68, rel. 5
- 2θ 64.31, rel. 8
- 2θ 64.90, rel. 17

***

No. 8
Calculated PXRD pattern of LiErZn2Au4 for Cu Kα, from a GGA-PBE-relaxed structure.

Cell and atoms:
Cell lengths 8.442, 8.442, 8.442 Å; angles 31.17, 31.17, 31.17 degrees
Fractional positions:
Li (0.000, 0.000, 0.000)
Er (0.500, 0.500, 0.500)
Zn (0.255, 0.255, 0.255)
Zn (0.745, 0.745, 0.745)
Au (0.108, 0.108, 0.108)
Au (0.371, 0.371, 0.371)
Au (0.629, 0.629, 0.629)
Au (0.892, 0.892, 0.892)

The 12 most intense peaks (5° ≤ 2θ ≤ 70°), sorted by position:
- 2θ 27.11, rel. 43
- 2θ 29.34, rel. 18
- 2θ 34.67, rel. 22
- 2θ 37.65, rel. 88
- 2θ 39.75, rel. 100
- 2θ 47.56, rel. 7
- 2θ 48.77, rel. 9
- 2θ 53.75, rel. 6
- 2θ 55.90, rel. 28
- 2θ 64.66, rel. 8
- 2θ 66.55, rel. 7
- 2θ 68.88, rel. 6

***

No. 9
Calculated PXRD pattern of ErMg2Au2 for Cu Kα, from a GGA-PBE-relaxed structure.

Cell and atoms:
Cell lengths 4.765, 4.747, 10.060 Å; angles 90.00, 93.49, 90.00 degrees
Fractional positions:
Er (0.231, 0.250, 0.320)
Er (0.769, 0.750, 0.680)
Mg (0.261, 0.250, 0.670)
Mg (0.264, 0.250, 0.985)
Mg (0.736, 0.750, 0.015)
Mg (0.739, 0.750, 0.330)
Au (0.247, 0.750, 0.153)
Au (0.249, 0.750, 0.512)
Au (0.751, 0.250, 0.488)
Au (0.753, 0.250, 0.847)

The 12 most intense peaks (5° ≤ 2θ ≤ 70°), sorted by position:
- 2θ 8.81, rel. 75
- 2θ 20.17, rel. 43
- 2θ 21.15, rel. 45
- 2θ 25.83, rel. 75
- 2θ 26.54, rel. 26
- 2θ 32.70, rel. 24
- 2θ 37.09, rel. 100
- 2θ 37.87, rel. 98
- 2θ 38.78, rel. 86
- 2θ 45.41, rel. 22
- 2θ 54.63, rel. 34
- 2θ 66.70, rel. 18

***

No. 10
Calculated PXRD pattern of NaEr2AuO5 for Cu Kα, from a GGA-PBE-relaxed structure.

Cell and atoms:
Cell lengths 6.471, 6.471, 5.880 Å; angles 90.00, 90.00, 90.00 degrees
Fractional positions:
Na (0.000, 0.000, 0.000)
Na (0.500, 0.500, 0.000)
Er (0.177, 0.323, 0.500)
Er (0.323, 0.823, 0.500)
Er (0.677, 0.177, 0.500)
Er (0.823, 0.677, 0.500)
Au (0.000, 0.500, 0.000)
Au (0.500, 0.000, 0.000)
O (0.000, 0.000, 0.500)
O (0.138, 0.638, 0.263)
O (0.138, 0.638, 0.737)
O (0.362, 0.138, 0.263)
O (0.362, 0.138, 0.737)
O (0.500, 0.500, 0.500)
O (0.638, 0.862, 0.263)
O (0.638, 0.862, 0.737)
O (0.862, 0.362, 0.263)
O (0.862, 0.362, 0.737)

The 12 most intense peaks (5° ≤ 2θ ≤ 70°), sorted by position:
- 2θ 19.40, rel. 61
- 2θ 24.65, rel. 17
- 2θ 30.40, rel. 42
- 2θ 30.90, rel. 21
- 2θ 31.56, rel. 100
- 2θ 34.54, rel. 51
- 2θ 39.38, rel. 22
- 2θ 43.90, rel. 39
- 2θ 47.02, rel. 46
- 2θ 50.55, rel. 21
- 2θ 54.76, rel. 21
- 2θ 65.98, rel. 19

***

No. 11
Calculated PXRD pattern of NaErAuSe2 for Cu Kα, from a GGA-PBE-relaxed structure.

Cell and atoms:
Cell lengths 6.978, 4.916, 7.633 Å; angles 90.00, 97.09, 90.00 degrees
Fractional positions:
Na (0.000, 0.103, 0.250)
Na (0.000, 0.897, 0.750)
Er (0.500, 0.495, 0.750)
Er (0.500, 0.505, 0.250)
Au (0.500, 0.000, 0.000)
Au (0.500, 0.000, 0.500)
Se (0.218, 0.347, 0.971)
Se (0.218, 0.653, 0.471)
Se (0.782, 0.347, 0.529)
Se (0.782, 0.653, 0.029)

The 12 most intense peaks (5° ≤ 2θ ≤ 70°), sorted by position:
- 2θ 12.78, rel. 100
- 2θ 25.73, rel. 13
- 2θ 29.78, rel. 20
- 2θ 31.31, rel. 36
- 2θ 33.70, rel. 41
- 2θ 37.70, rel. 31
- 2θ 38.88, rel. 20
- 2θ 39.02, rel. 14
- 2θ 41.72, rel. 21
- 2θ 45.24, rel. 17
- 2θ 47.28, rel. 11
- 2θ 61.67, rel. 11

***

No. 12
Calculated PXRD pattern of Nd2ErAu6 for Cu Kα, from a GGA-PBE-relaxed structure.

Cell and atoms:
Cell lengths 6.647, 6.647, 5.546 Å; angles 90.00, 90.00, 120.00 degrees
Fractional positions:
Nd (0.333, 0.667, 0.336)
Nd (0.667, 0.333, 0.664)
Er (0.000, 0.000, 0.500)
Au (0.188, 0.376, 0.822)
Au (0.188, 0.812, 0.822)
Au (0.376, 0.188, 0.178)
Au (0.624, 0.812, 0.822)
Au (0.812, 0.188, 0.178)
Au (0.812, 0.624, 0.178)

The 12 most intense peaks (5° ≤ 2θ ≤ 70°), sorted by position:
- 2θ 22.26, rel. 11
- 2θ 31.07, rel. 16
- 2θ 31.38, rel. 23
- 2θ 32.28, rel. 8
- 2θ 35.13, rel. 100
- 2θ 35.95, rel. 29
- 2θ 41.51, rel. 15
- 2θ 45.42, rel. 24
- 2θ 50.32, rel. 16
- 2θ 55.28, rel. 21
- 2θ 66.35, rel. 17
- 2θ 67.21, rel. 11

***

No. 13
Calculated PXRD pattern of NdErRuAu for Cu Kα, from a GGA-PBE-relaxed structure.

Cell and atoms:
Cell lengths 5.016, 5.016, 5.016 Å; angles 60.00, 60.00, 60.00 degrees
Fractional positions:
Nd (0.000, 0.000, 0.000)
Er (0.500, 0.500, 0.500)
Ru (0.750, 0.750, 0.750)
Au (0.250, 0.250, 0.250)

The 7 most intense peaks (5° ≤ 2θ ≤ 70°), sorted by position:
- 2θ 21.70, rel. 5
- 2θ 35.80, rel. 100
- 2θ 42.25, rel. 3
- 2θ 51.53, rel. 18
- 2θ 56.55, rel. 1
- 2θ 64.33, rel. 36
- 2θ 68.76, rel. 1